Entry 1:
Structure and calculated powder X-ray diffraction pattern of Na3SnTe3 (a structure optimized by DFT (PBE); a wavelength of 1.5418 Å).

Most intense lines, 5° ≤ 2θ ≤ 70°, low angle first:
Position (°2θ)  I/Imax
13.3  19
16.3  18
23.2  85
30.0  98
35.7  100
43.0  39
45.2  19
49.4  29
53.3  19
60.7  27

Cell and atoms:
abc: 9.408 9.408 9.408
angles: 90.00 90.00 90.00
Atoms (fractional coordinates):
Na  0.066  0.434  0.566
Na  0.158  0.158  0.158
Na  0.183  0.817  0.317
Na  0.317  0.183  0.817
Na  0.342  0.842  0.658
Na  0.434  0.566  0.066
Na  0.566  0.066  0.434
Na  0.658  0.342  0.842
Na  0.683  0.683  0.683
Na  0.817  0.317  0.183
Na  0.842  0.658  0.342
Na  0.934  0.934  0.934
Sn  0.113  0.613  0.887
Sn  0.387  0.387  0.387
Sn  0.613  0.887  0.113
Sn  0.887  0.113  0.613
Te  0.009  0.773  0.631
Te  0.131  0.491  0.227
Te  0.227  0.131  0.491
Te  0.273  0.869  0.991
Te  0.369  0.509  0.727
Te  0.491  0.227  0.131
Te  0.509  0.727  0.369
Te  0.631  0.009  0.773
Te  0.727  0.369  0.509
Te  0.773  0.631  0.009
Te  0.869  0.991  0.273
Te  0.991  0.273  0.869

***

Entry 2:
Structure and calculated powder X-ray diffraction pattern of KAlGa6 (a structure optimized by DFT (PBE); a wavelength of 1.5418 Å).

Most intense lines, 5° ≤ 2θ ≤ 70°, low angle first:
Position (°2θ)  I/Imax
22.0  20
22.1  12
29.4  100
35.3  28
38.7  17
38.9  88
43.6  89
45.2  16
56.2  29
64.7  17

Cell and atoms:
abc: 4.628 4.628 8.064
angles: 90.00 90.00 90.00
Atoms (fractional coordinates):
K  0.000  0.000  0.000
Al  0.000  0.000  0.500
Ga  0.000  0.500  0.325
Ga  0.000  0.500  0.675
Ga  0.500  0.000  0.325
Ga  0.500  0.000  0.675
Ga  0.500  0.500  0.160
Ga  0.500  0.500  0.840

***

What is the formula in the second record? KAlGa6